Theoretical X-ray diffraction stick pattern of Pr2YTm4Sc for CuKα, from a crystal structure in Alexandria, relaxed with PBE.
Lines closer than 0.1° are merged.

Cell and atoms:
abc: 5.018 5.018 9.878
angles: 90.00 90.00 90.00
Space group P4/mmm (No. 123)
Symmetry-distinct sites (fractional):
Pr 0.000 0.000 0.000 x1
Pr 0.500 0.500 0.500 x1
Y 0.000 0.000 0.500 x1
Tm 0.000 0.500 0.244 x4
Sc 0.500 0.500 0.000 x1

Largest 6 diffraction maxima, most intense first, 2θ from 15° to 90°:
index, Position (°2θ), I_rel
1 1 2, 31.03, 100
2 0 0, 35.79, 34
3 1 2, 61.37, 28
2 0 4, 51.96, 23
0 0 4, 36.38, 16
1 1 6, 62.16, 13